No. 1
Theoretical powder X-ray diffraction pattern of CsLi2UBr6 for Cu Ka, from a crystal structure in Alexandria, relaxed with GGA-PBE.
Intensities are scaled so that the largest is 100.

Most intense lines, 2θ = 5–70°, in order of rising 2θ:
- 12.22 deg, d = 7.243 Å, I 90, (1 1 -1)
- 13.32 deg, d = 6.648 Å, I 92, (2 0 0)
- 18.48 deg, d = 4.801 Å, I 52, (2 2 0)
- 18.74 deg, d = 4.735 Å, I 51, (2 2 -1)
- 21.93 deg, d = 4.054 Å, I 82, (0 0 2)
- 27.02 deg, d = 3.300 Å, I 100, (3 3 -1)

Structure:
Lattice parameters (Å, degrees): 14.3574 13.8820 8.7534 90.00 112.17 90.00
Space group C2/c (No. 15)
Symmetry-distinct sites (fractional):
Cs 0.0000 0.0919 0.2500 (multiplicity 4)
Li 0.1954 0.4319 0.1148 (multiplicity 8)
U 0.0000 0.2885 0.7500 (multiplicity 4)
Br 0.0744 0.3020 0.1035 (multiplicity 8)
Br 0.1259 0.1287 0.7108 (multiplicity 8)
Br 0.1631 0.4311 0.7995 (multiplicity 8)


No. 2
Theoretical powder X-ray diffraction pattern of CsLiYBr6 for Cu Ka, from a crystal structure in Alexandria, relaxed with GGA-PBE.
Intensities are scaled so that the largest is 100.

Most intense lines, 2θ = 5–70°, in order of rising 2θ:
- 17.85 deg, d = 4.969 Å, I 88, (1 1 1)
- 27.26 deg, d = 3.271 Å, I 100, (2 0 -1)
- 32.94 deg, d = 2.719 Å, I 66, (1 3 -2)
- 33.05 deg, d = 2.711 Å, I 30, (2 0 2)
- 44.28 deg, d = 2.046 Å, I 24, (3 3 0)
- 50.28 deg, d = 1.815 Å, I 22, (2 0 -4)

Structure:
Lattice parameters (Å, degrees): 7.0784 12.3180 8.4464 90.00 90.09 90.00
Space group C2 (No. 5)
Symmetry-distinct sites (fractional):
Cs 0.0000 0.0000 0.0000 (multiplicity 2)
Li 0.0000 0.6658 0.5000 (multiplicity 2)
Y 0.0000 0.3335 0.5000 (multiplicity 2)
Br 0.1276 0.5021 0.3042 (multiplicity 4)
Br 0.1816 0.8125 0.3038 (multiplicity 4)
Br 0.1891 0.1849 0.3043 (multiplicity 4)


No. 3
Theoretical powder X-ray diffraction pattern of Cs2MgBr2 for Cu Ka, from a crystal structure in Alexandria, relaxed with GGA-PBE.
Intensities are scaled so that the largest is 100.

Most intense lines, 2θ = 5–70°, in order of rising 2θ:
- 12.16 deg, d = 7.277 Å, I 27, (1 1 0)
- 27.40 deg, d = 3.254 Å, I 35, (3 1 0)
- 28.01 deg, d = 3.186 Å, I 100, (2 1 1)
- 34.87 deg, d = 2.573 Å, I 15, (4 0 0)
- 49.93 deg, d = 1.826 Å, I 13, (3 1 2)
- 52.15 deg, d = 1.754 Å, I 26, (5 2 1)

Structure:
Lattice parameters (Å, degrees): 10.2916 10.2916 4.4136 90.00 90.00 90.00
Space group P4/mbm (No. 127)
Symmetry-distinct sites (fractional):
Cs 0.1430 0.3570 0.0000 (multiplicity 4)
Mg 0.0000 0.0000 0.0000 (multiplicity 2)
Br 0.1530 0.6530 0.5000 (multiplicity 4)